[1]
The following is a simulated X-ray powder pattern of KTi4F12. It was derived from DFT lattice parameters and positions (PBE), using Cu Ka.
Lines closer than 0.1° are merged.

Largest 10 diffraction maxima, by intensity, 2θ = 10–90°:
hkl 2 0 0, 2θ = 22.1°, d 4.024, I 1000; hkl 4 0 0, 2θ = 45.1°, d 2.012, I 526; hkl 4 0 2, 2θ = 50.7°, d 1.800, I 342; hkl 2 2 0, 2θ = 31.4°, d 2.845, I 333; hkl 4 4 0, 2θ = 65.6°, d 1.423, I 273; hkl 1 1 0, 2θ = 15.6°, d 5.691, I 177; hkl 4 4 2, 2θ = 70.2°, d 1.341, I 137; hkl 4 2 2, 2θ = 56.0°, d 1.643, I 122; hkl 4 4 4, 2θ = 83.2°, d 1.162, I 81; hkl 2 1 1, 2θ = 27.1°, d 3.285, I 62

Crystal structure
a = 8.047 Å, b = 8.048 Å, c = 8.048 Å
α = 90.00°, β = 90.00°, γ = 90.00°
Space group Immm (No. 71)
One atom of each set of equivalent atoms:
K  0.000  0.000  0.000 x2
Ti  0.250  0.250  0.250 x8
F  0.000  0.247  0.247 x8
F  0.246  0.000  0.246 x8
F  0.246  0.247  0.000 x8

[2]
The following is a simulated X-ray powder pattern of K5Ti2F12. It was derived from DFT lattice parameters and positions (PBE), using Cu Ka.
Lines closer than 0.1° are merged.

Largest 10 diffraction maxima, by intensity, 2θ = 10–90°:
hkl 1 -1 2, 2θ = 26.4°, d 3.378, I 1000; hkl 0 1 -1, 2θ = 16.1°, d 5.489, I 964; hkl 0 2 0, 2θ = 26.6°, d 3.350, I 813; hkl 0 0 4, 2θ = 41.6°, d 2.170, I 691; hkl 2 1 0, 2θ = 37.1°, d 2.424, I 601; hkl 1 0 -2, 2θ = 25.3°, d 3.519, I 548; hkl 1 1 0, 2θ = 22.9°, d 3.876, I 537; hkl 0 0 1, 2θ = 10.2°, d 8.680, I 505; hkl -1 1 2, 2θ = 27.2°, d 3.280, I 497; hkl -1 2 1, 2θ = 29.1°, d 3.067, I 483

Crystal structure
a = 6.060 Å, b = 7.010 Å, c = 8.700 Å
α = 93.63°, β = 90.35°, γ = 106.53°
Space group P1 (No. 1)
One atom of each set of equivalent atoms:
K  0.000  0.000  0.000 x1
K  0.107  0.214  0.474 x1
K  0.253  0.587  0.181 x1
K  0.552  0.199  0.746 x1
K  0.712  0.715  0.480 x1
Ti  0.188  0.656  0.715 x1
Ti  0.569  0.124  0.243 x1
F  0.104  0.676  0.927 x1
F  0.106  0.906  0.683 x1
F  0.245  0.973  0.267 x1
F  0.249  0.620  0.496 x1
F  0.257  0.405  0.749 x1
F  0.485  0.161  0.037 x1
F  0.500  0.370  0.314 x1
F  0.502  0.806  0.747 x1
F  0.647  0.876  0.190 x1
F  0.650  0.089  0.454 x1
F  0.876  0.501  0.662 x1
F  0.893  0.268  0.210 x1

[3]
The following is a simulated X-ray powder pattern of K3TiF8. It was derived from DFT lattice parameters and positions (PBE), using Cu Ka.
Lines closer than 0.1° are merged.

Largest 10 diffraction maxima, by intensity, 2θ = 10–90°:
hkl 1 1 2, 2θ = 27.3°, d 3.268, I 1000; hkl 3 1 2, 2θ = 48.7°, d 1.868, I 597; hkl 2 2 0, 2θ = 39.6°, d 2.277, I 409; hkl 1 0 1, 2θ = 16.7°, d 5.310, I 385; hkl 2 0 0, 2θ = 27.7°, d 3.220, I 223; hkl 2 2 4, 2θ = 56.3°, d 1.634, I 208; hkl 2 0 4, 2θ = 48.0°, d 1.896, I 191; hkl 1 1 0, 2θ = 19.5°, d 4.553, I 152; hkl 0 0 4, 2θ = 38.4°, d 2.346, I 147; hkl 5 1 2, 2θ = 78.4°, d 1.219, I 145

Crystal structure
a = 6.439 Å, b = 6.439 Å, c = 9.384 Å
α = 90.00°, β = 90.00°, γ = 90.00°
Space group I-42m (No. 121)
One atom of each set of equivalent atoms:
K  0.000  0.000  0.000 x2
K  0.000  0.500  0.250 x4
Ti  0.000  0.000  0.500 x2
F  0.124  0.124  0.684 x8
F  0.209  0.209  0.449 x8

[4]
The following is a simulated X-ray powder pattern of KTiTl2F8. It was derived from DFT lattice parameters and positions (PBE), using Cu Ka.
Lines closer than 0.1° are merged.

Largest 10 diffraction maxima, by intensity, 2θ = 10–90°:
hkl 1 -1 0, 2θ = 23.3°, d 3.814, I 1000; hkl 0 1 0, 2θ = 15.3°, d 5.776, I 374; hkl 1 0 0, 2θ = 17.5°, d 5.078, I 372; hkl 2 0 0, 2θ = 35.4°, d 2.538, I 265; hkl 0 1 -2, 2θ = 29.7°, d 3.010, I 241; hkl 0 1 2, 2θ = 29.6°, d 3.022, I 240; hkl 1 0 2, 2θ = 29.8°, d 2.996, I 185; hkl 1 2 2, 2θ = 43.4°, d 2.085, I 179; hkl 1 -2 0, 2θ = 35.8°, d 2.510, I 178; hkl 0 2 0, 2θ = 31.0°, d 2.888, I 178

Crystal structure
a = 5.089 Å, b = 5.776 Å, c = 7.088 Å
α = 89.74°, β = 86.23°, γ = 89.83°
Space group P-1 (No. 2)
One atom of each set of equivalent atoms:
K  0.000  0.000  0.000 x1
Ti  0.000  0.000  0.500 x1
Tl  0.485  0.500  0.277 x2
F  0.105  0.765  0.671 x2
F  0.107  0.235  0.668 x2
F  0.325  0.997  0.362 x2
F  0.495  0.273  0.000 x2

[5]
The following is a simulated X-ray powder pattern of KTl5F6. It was derived from DFT lattice parameters and positions (PBE), using Cu Ka.
Lines closer than 0.1° are merged.

Largest 10 diffraction maxima, by intensity, 2θ = 10–90°:
hkl 2 0 0, 2θ = 27.4°, d 3.253, I 1000; hkl 1 3 1, 2θ = 31.7°, d 2.822, I 545; hkl 0 6 0, 2θ = 45.5°, d 1.993, I 299; hkl 2 0 -2, 2θ = 31.9°, d 2.809, I 271; hkl 1 3 3, 2θ = 54.0°, d 1.699, I 205; hkl 1 3 -3, 2θ = 45.6°, d 1.988, I 198; hkl 3 3 1, 2θ = 53.9°, d 1.702, I 165; hkl 2 6 -2, 2θ = 56.6°, d 1.625, I 154; hkl 6 0 -2, 2θ = 84.2°, d 1.150, I 115; hkl 2 0 2, 2θ = 45.4°, d 1.998, I 99

Crystal structure
a = 6.905 Å, b = 11.959 Å, c = 6.882 Å
α = 90.00°, β = 109.16°, γ = 90.00°
Space group C2/m (No. 12)
One atom of each set of equivalent atoms:
K  0.000  0.000  0.000 x2
Tl  0.000  0.166  0.500 x4
Tl  0.000  0.331  0.000 x4
Tl  0.000  0.500  0.500 x2
F  0.228  0.000  0.736 x4
F  0.236  0.161  0.234 x8

[6]
The following is a simulated X-ray powder pattern of K5Tl2F12. It was derived from DFT lattice parameters and positions (PBE), using Cu Ka.
Lines closer than 0.1° are merged.

Largest 10 diffraction maxima, by intensity, 2θ = 10–90°:
hkl 0 0 1, 2θ = 13.4°, d 6.588, I 1000; hkl 2 0 -1, 2θ = 14.5°, d 6.115, I 692; hkl 2 2 0, 2θ = 26.9°, d 3.312, I 403; hkl 2 0 0, 2θ = 16.0°, d 5.548, I 398; hkl 0 2 1, 2θ = 25.5°, d 3.498, I 396; hkl 2 2 -1, 2θ = 26.0°, d 3.422, I 353; hkl 2 2 -2, 2θ = 31.7°, d 2.820, I 291; hkl 2 2 1, 2θ = 33.9°, d 2.644, I 254; hkl 4 0 -2, 2θ = 29.2°, d 3.058, I 191; hkl 0 0 2, 2θ = 27.1°, d 3.294, I 189

Crystal structure
a = 13.048 Å, b = 8.257 Å, c = 7.747 Å
α = 90.00°, β = 121.75°, γ = 90.00°
Space group C2/m (No. 12)
One atom of each set of equivalent atoms:
K  0.000  0.000  0.000 x2
K  0.187  0.500  0.995 x4
K  0.243  0.500  0.503 x4
Tl  0.000  0.236  0.500 x4
F  0.014  0.500  0.366 x4
F  0.066  0.205  0.292 x8
F  0.111  0.000  0.662 x4
F  0.192  0.302  0.735 x8

[7]
The following is a simulated X-ray powder pattern of K3TlF7. It was derived from DFT lattice parameters and positions (PBE), using Cu Ka.
Lines closer than 0.1° are merged.

Largest 10 diffraction maxima, by intensity, 2θ = 10–90°:
hkl 1 1 0, 2θ = 16.1°, d 5.490, I 1000; hkl 0 2 1, 2θ = 26.6°, d 3.352, I 782; hkl 1 1 -1, 2θ = 16.6°, d 5.335, I 700; hkl 2 0 -2, 2θ = 26.7°, d 3.340, I 395; hkl 2 0 -1, 2θ = 19.4°, d 4.582, I 372; hkl 2 2 -1, 2θ = 28.0°, d 3.186, I 358; hkl 2 0 0, 2θ = 25.5°, d 3.495, I 357; hkl 0 0 1, 2θ = 17.3°, d 5.121, I 322; hkl 2 2 -3, 2θ = 46.2°, d 1.967, I 314; hkl 0 4 0, 2θ = 40.7°, d 2.217, I 301

Crystal structure
a = 9.174 Å, b = 8.867 Å, c = 6.721 Å
α = 90.00°, β = 130.36°, γ = 90.00°
Space group Cm (No. 8)
One atom of each set of equivalent atoms:
K  0.000  0.000  0.000 x2
K  0.005  0.270  0.557 x4
Tl  0.058  0.500  0.115 x2
F  0.117  0.252  0.268 x4
F  0.183  0.500  0.929 x2
F  0.354  0.500  0.502 x2
F  0.364  0.180  0.805 x4
F  0.378  0.000  0.220 x2